Computed powder diffractogram
Compound: Rb2AgSe2
Radiation: λ = 1.5418 Å (Cu Kα)
Structure: a cell relaxed with PBE

Crystal structure
```
data_Rb2AgSe2
_cell_length_a 12.339
_cell_length_b 4.050
_cell_length_c 6.971
_cell_angle_alpha 90.00
_cell_angle_beta 102.33
_cell_angle_gamma 90.00
_space_group_name_H-M_alt 'C 1 2/m 1'
_space_group_IT_number 12
_space_group_name_Hall '-C 2y'
loop_
_atom_site_label
_atom_site_fract_x
_atom_site_fract_y
_atom_site_fract_z
_atom_site_occupancy
Rb1 0.161 0.000 0.214 1
Ag1 0.000 0.500 0.500 1
Se1 0.109 0.000 0.706 1
```

Peak list (12 most intense, 2θ = 10–80°, in order of rising 2θ)
13.00 deg, d 6.811, rel. 44; 17.44 deg, d 5.084, rel. 31; 25.85 deg, d 3.446, rel. 27; 27.19 deg, d 3.280, rel. 52; 29.75 deg, d 3.003, rel. 37; 31.36 deg, d 2.852, rel. 100; 33.98 deg, d 2.638, rel. 21; 35.31 deg, d 2.542, rel. 27; 35.93 deg, d 2.499, rel. 24; 36.44 deg, d 2.466, rel. 89; 44.75 deg, d 2.025, rel. 28; 57.02 deg, d 1.615, rel. 23